1.
Calculated powder diffraction line list of Na3Ge2S4 for λ = 1.5418 Å (Cu Kα), from a cell relaxed with PBE.
Peak positions follow from Bragg's law for the DFT cell and can differ from measured ones.

Crystal structure
```
18
Lattice="6.070 -4.652 0.000 6.070 4.652 0.000 -0.085 0.000 7.847" Properties=species:S:1:pos:R:3 pbc="T T T"
Na 6.006 3.688 5.886
Na 4.476 1.185 7.538
Na 7.536 1.185 4.233
Na 4.519 -1.185 3.614
Na 7.578 -1.185 0.309
Na 6.049 -3.688 1.962
Ge 2.135 1.225 4.789
Ge 2.178 -1.225 0.865
Ge 9.877 1.225 6.982
Ge 9.919 -1.225 3.059
S 1.700 0.674 7.345
S 4.494 1.476 4.651
S 1.743 -0.674 3.421
S 7.517 1.476 7.120
S 4.537 -1.476 0.728
S 10.312 0.674 4.426
S 7.560 -1.476 3.196
S 10.354 -0.674 0.502
```

Main lines, in order of falling intensity (15° ≤ 2θ ≤ 90°):
d/Å  Position (°2θ)  I (rel.)
4.002  22.21  100
2.280  39.52  95
2.412  37.27  90
3.347  26.63  76
5.396  16.43  54
2.326  38.71  45
2.383  37.76  45
3.035  29.43  39
3.924  22.66  36
5.360  16.54  34

---

2.
Calculated powder diffraction line list of BaSrLi3 for λ = 1.5418 Å (Cu Kα), from a cell relaxed with PBE.
Peak positions follow from Bragg's law for the DFT cell and can differ from measured ones.

Crystal structure
```
20
Lattice="8.616 0.000 0.000 0.000 8.714 0.000 0.000 0.000 10.150" Properties=species:S:1:pos:R:3 pbc="T T T"
Ba 1.585 1.527 0.000
Ba 2.723 5.884 5.075
Ba 5.893 2.830 5.075
Ba 7.031 7.187 0.000
Sr 1.565 1.518 5.075
Sr 2.743 5.875 0.000
Sr 5.873 2.839 0.000
Sr 7.051 7.196 5.075
Li 0.000 4.357 2.505
Li 0.000 4.357 7.645
Li 1.035 7.636 2.542
Li 1.035 7.636 7.608
Li 3.273 3.280 2.533
Li 3.273 3.280 7.617
Li 4.308 0.000 2.570
Li 4.308 0.000 7.580
Li 5.343 5.434 2.533
Li 5.343 5.434 7.617
Li 7.581 1.077 2.542
Li 7.581 1.077 7.608
```

Main lines, in order of falling intensity (15° ≤ 2θ ≤ 90°):
d/Å  Position (°2θ)  I (rel.)
5.075  17.47  100
3.086  28.93  83
3.072  29.07  78
3.888  22.87  62
3.862  23.03  49
2.123  42.58  43
3.284  27.15  39
4.308  20.62  33
3.306  26.97  31
1.895  48.02  31

---

3.
Calculated powder diffraction line list of Tb2Dy3HoTm6 for λ = 1.5418 Å (Cu Kα), from a cell relaxed with PBE.
Peak positions follow from Bragg's law for the DFT cell and can differ from measured ones.

Crystal structure
```
12
Lattice="3.042 -5.263 0.000 3.042 5.263 0.000 -2.022 0.000 11.430" Properties=species:S:1:pos:R:3 pbc="T T T"
Tb 3.042 3.509 0.000
Tb 3.042 -3.509 0.000
Dy -1.011 0.000 5.715
Dy 2.031 1.753 5.715
Dy 2.031 -1.753 5.715
Ho 3.042 0.000 0.000
Tm 0.004 1.754 8.571
Tm 1.018 0.000 2.860
Tm 0.004 -1.754 8.571
Tm 4.058 1.754 2.859
Tm 3.044 0.000 8.569
Tm 4.058 -1.754 2.859
```

Main lines, in order of falling intensity (15° ≤ 2θ ≤ 90°):
d/Å  Position (°2θ)  I (rel.)
2.863  31.24  100
2.480  36.23  51
1.496  62.03  25
1.755  52.11  18
1.752  52.22  18
1.494  62.13  18
1.433  65.11  9
1.139  85.21  9
1.240  76.90  6
1.110  87.97  6

---

4.
Calculated powder diffraction line list of La3ThTl2 for λ = 1.5418 Å (Cu Kα), from a cell relaxed with PBE.
Peak positions follow from Bragg's law for the DFT cell and can differ from measured ones.

Crystal structure
```
6
Lattice="3.687 0.000 0.000 0.000 3.687 0.000 0.000 0.000 14.108" Properties=species:S:1:pos:R:3 pbc="T T T"
La 0.000 0.000 0.000
La 0.000 0.000 4.586
La 0.000 0.000 9.522
Th 1.844 1.844 7.054
Tl 1.844 1.844 2.275
Tl 1.844 1.844 11.832
```

Main lines, in order of falling intensity (15° ≤ 2θ ≤ 90°):
d/Å  Position (°2θ)  I (rel.)
2.902  30.81  100
2.607  34.40  38
1.556  59.39  32
1.746  52.40  22
1.844  49.44  14
2.351  38.28  14
1.451  64.20  12
1.443  64.61  11
1.136  85.46  11
1.189  80.83  7

---

5.
Calculated powder diffraction line list of Y2Ho3Tm9 for λ = 1.5418 Å (Cu Kα), from a cell relaxed with PBE.
Peak positions follow from Bragg's law for the DFT cell and can differ from measured ones.

Crystal structure
```
14
Lattice="6.131 0.000 0.000 0.426 8.625 0.000 1.868 1.488 8.299" Properties=species:S:1:pos:R:3 pbc="T T T"
Y 0.846 0.707 2.461
Y 7.579 9.406 5.838
Ho 3.135 6.409 6.031
Ho 3.065 0.000 0.000
Ho 5.290 3.705 2.268
Tm 0.546 6.571 0.691
Tm 2.033 3.626 4.198
Tm 2.265 3.459 0.854
Tm 3.372 6.374 2.529
Tm 4.000 0.744 4.150
Tm 5.052 3.739 5.770
Tm 6.160 6.654 7.445
Tm 6.391 6.488 4.101
Tm 7.879 3.542 7.608
```

Main lines, in order of falling intensity (15° ≤ 2θ ≤ 90°):
d/Å  Position (°2θ)  I (rel.)
2.812  31.82  100
2.832  31.59  69
2.757  32.47  55
2.680  33.44  51
2.556  35.11  43
2.785  32.14  36
2.623  34.18  31
1.853  49.18  20
1.477  62.92  18
1.659  55.37  18

---

6.
Calculated powder diffraction line list of Ac2Au3 for λ = 1.5418 Å (Cu Kα), from a cell relaxed with PBE.
Peak positions follow from Bragg's law for the DFT cell and can differ from measured ones.

Crystal structure
```
20
Lattice="-5.375 5.375 5.375 5.375 -5.375 5.375 5.375 5.375 -5.375" Properties=species:S:1:pos:R:3 pbc="T T T"
Ac 3.109 2.266 -2.266
Ac 5.796 -0.422 0.422
Ac 2.266 -2.266 3.109
Ac 2.266 2.266 2.266
Ac -2.266 3.109 2.266
Ac 0.422 5.796 -0.422
Ac -0.422 0.422 5.796
Ac 4.953 4.953 4.953
Au 2.687 0.062 0.000
Au 5.375 2.687 -0.062
Au 0.062 0.000 2.687
Au 8.000 0.000 2.687
Au 0.000 2.687 0.062
Au 2.687 -0.062 5.375
Au 5.375 2.687 2.750
Au 2.687 8.000 0.000
Au -0.062 5.375 2.687
Au 2.750 5.375 2.687
Au 2.687 2.750 5.375
Au 0.000 2.687 8.000
```

Main lines, in order of falling intensity (15° ≤ 2θ ≤ 90°):
d/Å  Position (°2θ)  I (rel.)
2.873  31.13  100
2.687  33.34  82
2.292  39.31  54
1.900  47.87  46
1.463  63.61  34
1.365  68.76  26
3.399  26.22  25
4.388  20.24  22
2.108  42.90  21
1.552  59.59  15

---

7.
Calculated powder diffraction line list of La7SmCd4 for λ = 1.5418 Å (Cu Kα), from a cell relaxed with PBE.
Peak positions follow from Bragg's law for the DFT cell and can differ from measured ones.

Crystal structure
```
12
Lattice="6.511 0.000 0.000 -0.600 6.759 0.000 -0.270 -2.170 8.650" Properties=species:S:1:pos:R:3 pbc="T T T"
La 0.000 0.000 0.000
La 0.502 3.444 5.366
La 0.933 1.351 8.033
La 1.903 0.002 5.043
La 3.738 4.588 3.607
La 4.708 3.238 0.617
La 5.138 1.145 3.284
Sm 3.256 0.000 0.000
Cd 0.565 4.909 2.395
Cd 1.823 2.001 2.314
Cd 3.818 2.588 6.336
Cd 5.075 -0.320 6.255
```

Main lines, in order of falling intensity (15° ≤ 2θ ≤ 90°):
d/Å  Position (°2θ)  I (rel.)
2.798  31.98  100
2.845  31.45  68
2.985  29.94  33
2.768  32.35  33
2.583  34.72  32
2.688  33.34  24
2.666  33.61  21
2.883  31.02  18
2.658  33.72  18
1.632  56.38  14

---

8.
Calculated powder diffraction line list of TbYPt2 for λ = 1.5418 Å (Cu Kα), from a cell relaxed with PBE.
Peak positions follow from Bragg's law for the DFT cell and can differ from measured ones.

Crystal structure
```
4
Lattice="4.466 0.000 0.000 0.000 1.902 5.301 0.000 -1.902 5.301" Properties=species:S:1:pos:R:3 pbc="T T T"
Tb 0.000 0.000 0.000
Y 2.233 0.000 7.667
Pt 0.000 0.000 2.911
Pt 2.233 0.000 4.763
```

Main lines, in order of falling intensity (15° ≤ 2θ ≤ 90°):
d/Å  Position (°2θ)  I (rel.)
2.794  32.04  100
2.240  40.26  92
2.233  40.39  35
2.650  33.82  30
2.279  39.54  29
1.902  47.83  21
1.271  74.71  20
3.580  24.87  18
1.448  64.34  18
5.301  16.73  17